Structure and simulated XRD peak list of Tb3ScHg7 (DFT lattice parameters and positions (GGA-PBE); λ = 1.5418 Å (Cu Kα)).

Cell and atoms:
```
data_Tb3ScHg7
_symmetry_space_group_name_H-M 'P 1'
_symmetry_Int_Tables_number 1
_cell_length_a 16.4008
_cell_length_b 16.4008
_cell_length_c 11.2555
_cell_angle_alpha 90.00
_cell_angle_beta 90.00
_cell_angle_gamma 167.25
loop_
_symmetry_equiv_pos_as_xyz
'x,y,z'
loop_
_atom_site_label
_atom_site_fract_x
_atom_site_fract_y
_atom_site_fract_z
_atom_site_occupancy
Tb1 0.0622 0.9378 0.5755 1
Tb2 0.0622 0.9378 0.9245 1
Tb3 0.1784 0.8216 0.2500 1
Tb4 0.8216 0.1784 0.7500 1
Tb5 0.9378 0.0622 0.0755 1
Tb6 0.9378 0.0622 0.4245 1
Sc1 0.0750 0.9250 0.2500 1
Sc2 0.9250 0.0750 0.7500 1
Hg1 0.2752 0.7248 0.5722 1
Hg2 0.2752 0.7248 0.9278 1
Hg3 0.3771 0.6229 0.5764 1
Hg4 0.3771 0.6229 0.9236 1
Hg5 0.3872 0.6128 0.2500 1
Hg6 0.4823 0.5177 0.6204 1
Hg7 0.4823 0.5177 0.8796 1
Hg8 0.5177 0.4823 0.1204 1
Hg9 0.5177 0.4823 0.3796 1
Hg10 0.6128 0.3872 0.7500 1
Hg11 0.6229 0.3771 0.0764 1
Hg12 0.6229 0.3771 0.4236 1
Hg13 0.7248 0.2752 0.0722 1
Hg14 0.7248 0.2752 0.4278 1
```

The 6 most intense peaks (2θ from 10° to 90°), in order of falling intensity:
34.43°, I 100.0
34.94°, I 95.5
36.51°, I 91.2
63.56°, I 36.8
13.41°, I 31.9
65.03°, I 31.9


Structure and simulated XRD peak list of Pr4In5Cu19 (DFT lattice parameters and positions (GGA-PBE); λ = 1.5418 Å (Cu Kα)).

Cell and atoms:
```
data_Pr4In5Cu19
_symmetry_space_group_name_H-M 'P 1'
_symmetry_Int_Tables_number 1
_cell_length_a 8.5123
_cell_length_b 5.1290
_cell_length_c 10.7584
_cell_angle_alpha 90.00
_cell_angle_beta 90.08
_cell_angle_gamma 90.00
loop_
_symmetry_equiv_pos_as_xyz
'x,y,z'
loop_
_atom_site_label
_atom_site_fract_x
_atom_site_fract_y
_atom_site_fract_z
_atom_site_occupancy
Pr1 0.0000 0.0000 0.0000 1
Pr2 0.0103 0.5000 0.5095 1
Pr3 0.4965 0.0000 0.3995 1
Pr4 0.5078 0.5000 0.8763 1
In1 0.1172 0.0000 0.3069 1
In2 0.3928 0.5000 0.5815 1
In3 0.5644 0.5000 0.2045 1
In4 0.6160 0.0000 0.0745 1
In5 0.8935 0.5000 0.8066 1
Cu1 0.0677 0.5000 0.1850 1
Cu2 0.1715 0.5000 0.9576 1
Cu3 0.1866 0.2501 0.7560 1
Cu4 0.1866 0.7499 0.7560 1
Cu5 0.1937 0.0000 0.5536 1
Cu6 0.2957 0.5000 0.3404 1
Cu7 0.3093 0.2441 0.1293 1
Cu8 0.3093 0.7559 0.1293 1
Cu9 0.3351 0.0000 0.9275 1
Cu10 0.4354 0.0000 0.7015 1
Cu11 0.6816 0.5000 0.4346 1
Cu12 0.6872 0.2499 0.6331 1
Cu13 0.6872 0.7501 0.6331 1
Cu14 0.6976 0.0000 0.8342 1
Cu15 0.8195 0.5000 0.0490 1
Cu16 0.8304 0.2456 0.2583 1
Cu17 0.8304 0.7544 0.2583 1
Cu18 0.8355 0.0000 0.4607 1
Cu19 0.9363 0.0000 0.6877 1
```

The 6 most intense peaks (2θ from 10° to 90°), in order of falling intensity:
37.17°, I 100.0
34.99°, I 44.6
43.36°, I 33.2
64.19°, I 32.4
43.54°, I 31.0
44.73°, I 27.5